Structure and calculated XRD peak list of KHo2Sn3Se6 (a PBE-relaxed structure; a wavelength of 1.5418 Å).

Crystal structure
a = 18.528 Å, b = 4.086 Å, c = 9.290 Å
α = 90.00°, β = 100.45°, γ = 90.00°
Space group C2/m (No. 12)
Symmetry-distinct sites (fractional):
K: 0.000 0.000 0.000 (multiplicity 2)
Ho: 0.170 0.500 0.338 (multiplicity 4)
Sn: 0.000 0.000 0.500 (multiplicity 2)
Sn: 0.162 0.500 0.829 (multiplicity 4)
Se: 0.018 0.500 0.277 (multiplicity 4)
Se: 0.168 0.000 0.560 (multiplicity 4)
Se: 0.185 0.000 0.128 (multiplicity 4)

The 10 most intense peaks (2θ from 15° to 90°), in order of rising 2θ:
29.14°, d = 3.065 Å, intensity 100.0; 29.41°, d = 3.037 Å, intensity 44.6; 38.87°, d = 2.317 Å, intensity 20.1; 40.84°, d = 2.209 Å, intensity 34.2; 42.89°, d = 2.109 Å, intensity 34.3; 44.34°, d = 2.043 Å, intensity 16.6; 47.72°, d = 1.906 Å, intensity 16.3; 51.25°, d = 1.782 Å, intensity 10.0; 54.10°, d = 1.695 Å, intensity 16.3; 60.41°, d = 1.532 Å, intensity 11.0

Structure and calculated XRD peak list of KHo4ThSe8 (a PBE-relaxed structure; a wavelength of 1.5418 Å).

Crystal structure
a = 8.5189 Å, b = 8.5189 Å, c = 21.3162 Å
α = 90.00°, β = 90.00°, γ = 120.00°
Space group R3m (No. 160, hexagonal axes)
Symmetry-distinct sites (fractional):
K: 0.0000 0.0000 0.0000 (multiplicity 3)
Ho: 0.0000 0.0000 0.7426 (multiplicity 3)
Ho: 0.0100 0.5050 0.8719 (multiplicity 9)
Th: 0.0000 0.0000 0.3671 (multiplicity 3)
Se: 0.0000 0.0000 0.1376 (multiplicity 3)
Se: 0.0000 0.0000 0.6119 (multiplicity 3)
Se: 0.0160 0.5080 0.1247 (multiplicity 9)
Se: 0.1851 0.3702 0.9472 (multiplicity 9)

The 10 most intense peaks (2θ from 15° to 90°), in order of rising 2θ:
24.11°, d = 3.691 Å, intensity 33.1; 24.36°, d = 3.653 Å, intensity 68.6; 24.49°, d = 3.635 Å, intensity 18.7; 29.45°, d = 3.033 Å, intensity 100.0; 38.58°, d = 2.334 Å, intensity 34.7; 38.75°, d = 2.324 Å, intensity 23.1; 41.82°, d = 2.160 Å, intensity 67.5; 42.44°, d = 2.130 Å, intensity 67.1; 61.11°, d = 1.517 Å, intensity 20.5; 77.22°, d = 1.235 Å, intensity 20.4

Structure and calculated XRD peak list of K4HoTh3Se8 (a PBE-relaxed structure; a wavelength of 1.5418 Å).

Crystal structure
a = 8.4500 Å, b = 8.4500 Å, c = 23.4852 Å
α = 90.00°, β = 90.00°, γ = 120.00°
Space group R-3m (No. 166, hexagonal axes)
Symmetry-distinct sites (fractional):
K: 0.0000 0.0000 0.0000 (multiplicity 3)
K: 0.0000 0.5000 0.0000 (multiplicity 9)
Ho: 0.0000 0.0000 0.5000 (multiplicity 3)
Th: 0.0000 0.5000 0.5000 (multiplicity 9)
Se: 0.0000 0.0000 0.2401 (multiplicity 6)
Se: 0.0067 0.5034 0.2376 (multiplicity 18)

The 10 most intense peaks (2θ from 15° to 90°), in order of rising 2θ:
24.62°, d = 3.615 Å, intensity 21.1; 28.75°, d = 3.105 Å, intensity 100.0; 36.33°, d = 2.473 Å, intensity 20.2; 39.35°, d = 2.290 Å, intensity 38.6; 42.81°, d = 2.112 Å, intensity 34.8; 44.42°, d = 2.040 Å, intensity 16.0; 49.42°, d = 1.844 Å, intensity 11.4; 52.38°, d = 1.747 Å, intensity 18.5; 64.96°, d = 1.436 Å, intensity 14.8; 69.88°, d = 1.346 Å, intensity 15.5

Structure and calculated XRD peak list of KHo4TmSe8 (a PBE-relaxed structure; a wavelength of 1.5418 Å).

Crystal structure
a = 8.5486 Å, b = 8.5486 Å, c = 20.8442 Å
α = 90.00°, β = 90.00°, γ = 120.00°
Space group R3m (No. 160, hexagonal axes)
Symmetry-distinct sites (fractional):
K: 0.0000 0.0000 0.0000 (multiplicity 3)
Ho: 0.0000 0.0000 0.2489 (multiplicity 3)
Ho: 0.1733 0.3465 0.4558 (multiplicity 9)
Tm: 0.0000 0.0000 0.6290 (multiplicity 3)
Se: 0.0000 0.0000 0.3817 (multiplicity 3)
Se: 0.0000 0.0000 0.8589 (multiplicity 3)
Se: 0.0425 0.5212 0.3785 (multiplicity 9)
Se: 0.1774 0.3548 0.2054 (multiplicity 9)

The 10 most intense peaks (2θ from 15° to 90°), in order of rising 2θ:
20.81°, d = 4.268 Å, intensity 18.2; 24.46°, d = 3.640 Å, intensity 100.0; 29.60°, d = 3.018 Å, intensity 85.7; 38.76°, d = 2.323 Å, intensity 64.7; 42.29°, d = 2.137 Å, intensity 59.0; 42.42°, d = 2.131 Å, intensity 58.9; 52.47°, d = 1.744 Å, intensity 15.1; 58.69°, d = 1.573 Å, intensity 15.5; 61.45°, d = 1.509 Å, intensity 17.6; 77.40°, d = 1.233 Å, intensity 24.9